Record 1
Structure and simulated powder XRD pattern of Nd2Mo3O12 (a PBE+U-relaxed structure; λ = 1.5418 Å (Cu Kα)).
Kinematic intensities with the Lorentz-polarization factor, no thermal factor.

Cell lengths 7.610, 11.807, 11.997 Å; angles 90.00, 108.43, 90.00 degrees
Space group C2/c (No. 15)
Inequivalent atoms, fractional coordinates:
Nd 0.169 0.123 0.089
Mo 0.000 0.126 0.750
Mo 0.160 0.377 0.574
O 0.028 0.454 0.900
O 0.056 0.279 0.460
O 0.127 0.204 0.884
O 0.149 0.042 0.457
O 0.164 0.038 0.716
O 0.239 0.194 0.289

Peak list (10 most intense, 5° ≤ 2θ ≤ 70°, by angle)
- 14.38°, I 14
- 16.92°, I 11
- 23.99°, I 8
- 27.92°, I 100
- 30.28°, I 14
- 33.35°, I 19
- 45.66°, I 30
- 52.36°, I 16
- 56.30°, I 13
- 56.39°, I 13

Record 2
Structure and simulated powder XRD pattern of Nd2Mo2O7 (a PBE+U-relaxed structure; λ = 1.5418 Å (Cu Kα)).
Kinematic intensities with the Lorentz-polarization factor, no thermal factor.

Cell lengths 10.620, 10.620, 10.620 Å; angles 90.00, 90.00, 90.00 degrees
Space group Fd-3m (No. 227, origin choice 2)
Inequivalent atoms, fractional coordinates:
Nd 0.000 0.000 0.000
Mo 0.000 0.000 0.500
O 0.083 0.375 0.875
O 0.125 0.125 0.125

Peak list (10 most intense, 5° ≤ 2θ ≤ 70°, by angle)
- 14.45°, I 3
- 27.86°, I 1
- 29.13°, I 100
- 33.76°, I 32
- 36.89°, I 5
- 44.32°, I 2
- 48.49°, I 48
- 50.87°, I 1
- 57.57°, I 43
- 60.39°, I 10

Record 3
Structure and simulated powder XRD pattern of Nd3MoO7 (a PBE+U-relaxed structure; λ = 1.5418 Å (Cu Kα)).
Kinematic intensities with the Lorentz-polarization factor, no thermal factor.

Cell lengths 7.662, 7.724, 10.951 Å; angles 90.00, 90.00, 90.00 degrees
Space group P2_12_12_1 (No. 19)
Inequivalent atoms, fractional coordinates:
Nd 0.002 0.037 0.277
Nd 0.002 0.549 0.769
Nd 0.239 0.209 0.006
Mo 0.246 0.252 0.499
O 0.003 0.282 0.867
O 0.003 0.687 0.993
O 0.013 0.759 0.368
O 0.208 0.390 0.353
O 0.217 0.436 0.620
O 0.218 0.939 0.127
O 0.218 0.958 0.881

Peak list (10 most intense, 5° ≤ 2θ ≤ 70°, by angle)
- 28.28°, I 89
- 28.43°, I 100
- 32.71°, I 22
- 32.93°, I 41
- 47.10°, I 51
- 47.47°, I 18
- 51.59°, I 11
- 55.75°, I 19
- 55.91°, I 11
- 56.17°, I 25